# H2PbBrN
Calculated XRD peak list, Cu Kα (weighted mean of Kα1 and Kα2). Input: the GGA-PBE geometry in Alexandria.

Principal peaks in the range 2θ = 10–90°, by angle:
| 2theta | I_rel | h k l |
| --- | --- | --- |
| 23.9 | 78.6 | 1 1 0 |
| 24.9 | 70.1 | 0 0 2 |
| 33.6 | 70.6 | 0 4 1 |
| 34.8 | 85.0 | 1 1 2 |
| 35.0 | 100.0 | 1 3 1 |
| 50.7 | 41.3 | 1 3 3 |

Cell and atoms:
```
data_H2PbBrN
_chemical_formula_sum 'H8 Pb4 Br4 N4'
_symmetry_space_group_name_H-M 'C m c m'
_symmetry_Int_Tables_number 63
_symmetry_space_group_name_Hall '-C 2c 2'
_cell_length_a 3.937
_cell_length_b 11.504
_cell_length_c 7.148
_cell_angle_alpha 90.00
_cell_angle_beta 90.00
_cell_angle_gamma 90.00
loop_
_atom_site_label
_atom_site_fract_x
_atom_site_fract_y
_atom_site_fract_z
_atom_site_occupancy
H1 0.000 0.080 0.059 1
Pb1 0.000 0.433 0.250 1
Br1 0.000 0.298 0.750 1
N1 0.000 0.000 0.000 1
```